1.
For GeNCl3, a DFT-relaxed cell (GGA-PBE, Alexandria) gives the simulated XRD peak list in this record (a wavelength of 1.5418 Å).
No peak broadening, texture or thermal motion is included.

Crystal structure
Cell lengths 8.287, 7.811, 10.912 Å; angles 90.00, 90.00, 90.00 degrees
Space group Pnma (No. 62)
One atom of each set of equivalent atoms:
Ge (0.250, 0.250, 0.133) (multiplicity 4)
N (0.005, 0.250, 0.747) (multiplicity 4)
Cl (0.000, 0.250, 0.250) (multiplicity 4)
Cl (0.250, 0.025, 0.015) (multiplicity 8)

Peak list (10 most intense, 5° ≤ 2θ ≤ 70°, sorted by position)
hkl 0 1 1, 2θ = 13.9°, I = 100
hkl 1 1 1, 2θ = 17.6°, I = 72
hkl 1 0 2, 2θ = 19.5°, I = 57
hkl 2 0 0, 2θ = 21.4°, I = 28
hkl 2 0 2, 2θ = 27.0°, I = 46
hkl 0 2 2, 2θ = 28.1°, I = 48
hkl 1 2 2, 2θ = 30.1°, I = 19
hkl 2 1 3, 2θ = 34.8°, I = 16
hkl 0 3 1, 2θ = 35.4°, I = 21
hkl 2 2 4, 2θ = 46.1°, I = 56


2.
For MnC8N6, a DFT-relaxed cell (GGA-PBE, Alexandria) gives the simulated XRD peak list in this record (a wavelength of 1.5418 Å).
No peak broadening, texture or thermal motion is included.

Crystal structure
Cell lengths 7.125, 5.095, 10.239 Å; angles 90.00, 90.00, 90.00 degrees
Space group Pmna (No. 53)
One atom of each set of equivalent atoms:
Mn (0.000, 0.000, 0.000) (multiplicity 2)
C (0.000, 0.378, 0.241) (multiplicity 4)
C (0.000, 0.427, 0.662) (multiplicity 4)
C (0.167, 0.312, 0.616) (multiplicity 8)
N (0.000, 0.222, 0.156) (multiplicity 4)
N (0.201, 0.205, 0.926) (multiplicity 8)

Peak list (10 most intense, 5° ≤ 2θ ≤ 70°, sorted by position)
hkl 1 0 1, 2θ = 15.1°, I = 74
hkl 0 0 2, 2θ = 17.3°, I = 22
hkl 1 1 1, 2θ = 23.2°, I = 100
hkl 0 1 2, 2θ = 24.7°, I = 51
hkl 1 1 2, 2θ = 27.7°, I = 20
hkl 1 0 3, 2θ = 29.0°, I = 17
hkl 0 1 3, 2θ = 31.5°, I = 32
hkl 2 1 1, 2θ = 31.9°, I = 26
hkl 2 1 2, 2θ = 35.4°, I = 25
hkl 1 2 3, 2θ = 46.3°, I = 14